No. 1
Dy2O3: calculated XRD peak list (Cu Kα, 1.54184 Å), based on a DFT-relaxed cell (GGA-PBE, Alexandria).
Peak positions follow from Bragg's law for the DFT cell and can differ from measured ones.

Cell and atoms:
```
data_Dy2O3
_cell_length_a 10.6744
_cell_length_b 10.6744
_cell_length_c 10.6744
_cell_angle_alpha 90.00
_cell_angle_beta 90.00
_cell_angle_gamma 90.00
_symmetry_space_group_name_H-M 'I a -3'
_symmetry_Int_Tables_number 206
_symmetry_space_group_name_Hall '-I 2b 2c 3'
loop_
_atom_site_label
_atom_site_fract_x
_atom_site_fract_y
_atom_site_fract_z
Dy1 0.0000 0.2500 0.4675
Dy2 0.2500 0.2500 0.2500
O1 0.1089 0.1513 0.6205
```

Peak list (10 most intense, 10° ≤ 2θ ≤ 90°, sorted by position)
| 2θ (°) | d (Å) | Rel. int. | h k l |
| --- | --- | --- | --- |
| 20.4 | 4.358 | 10 | 2 1 1 |
| 29.0 | 3.081 | 100 | 2 2 2 |
| 33.6 | 2.669 | 35 | 4 0 0 |
| 43.2 | 2.093 | 8 | 4 1 3 |
| 48.2 | 1.887 | 38 | 4 4 0 |
| 57.2 | 1.609 | 32 | 6 2 2 |
| 58.7 | 1.574 | 6 | 6 1 3 |
| 60.0 | 1.541 | 7 | 4 4 4 |
| 78.0 | 1.224 | 9 | 6 6 2 |
| 80.5 | 1.193 | 7 | 8 4 0 |


No. 2
DyOsPb2O8: calculated XRD peak list (Cu Kα, 1.54184 Å), based on a DFT-relaxed cell (GGA-PBE, Alexandria).
Peak positions follow from Bragg's law for the DFT cell and can differ from measured ones.

Cell and atoms:
```
data_DyOsPb2O8
_cell_length_a 5.0999
_cell_length_b 6.7648
_cell_length_c 5.1004
_cell_angle_alpha 90.00
_cell_angle_beta 90.54
_cell_angle_gamma 90.00
_symmetry_space_group_name_H-M 'P 1 2/m 1'
_symmetry_Int_Tables_number 10
loop_
_symmetry_equiv_pos_as_xyz
'x,y,z'
'-x,-y,-z'
'-x,y,-z'
'x,-y,z'
loop_
_atom_site_label
_atom_site_fract_x
_atom_site_fract_y
_atom_site_fract_z
Dy1 0.0000 0.0000 0.0000
Os1 0.0000 0.5000 0.0000
Pb1 0.5000 0.2524 0.5000
O1 0.1791 0.2837 0.1835
O2 0.2605 0.5000 0.7454
O3 0.3092 0.0000 0.6947
```

Peak list (10 most intense, 10° ≤ 2θ ≤ 90°, sorted by position)
| 2θ (°) | d (Å) | Rel. int. | h k l |
| --- | --- | --- | --- |
| 24.6 | 3.623 | 54 | 1 0 -1 |
| 24.8 | 3.589 | 55 | 1 0 1 |
| 31.7 | 2.819 | 100 | 0 2 1 |
| 35.2 | 2.550 | 32 | 2 0 0 |
| 48.0 | 1.896 | 37 | 1 2 -2 |
| 48.3 | 1.886 | 39 | 1 2 2 |
| 56.9 | 1.617 | 11 | 3 0 -1 |
| 60.5 | 1.530 | 10 | 1 4 1 |
| 61.0 | 1.519 | 21 | 3 2 0 |
| 66.3 | 1.409 | 12 | 2 4 0 |


No. 3
DySc2OsO8: calculated XRD peak list (Cu Kα, 1.54184 Å), based on a DFT-relaxed cell (GGA-PBE, Alexandria).
Peak positions follow from Bragg's law for the DFT cell and can differ from measured ones.

Cell and atoms:
```
data_DySc2OsO8
_cell_length_a 6.8587
_cell_length_b 6.9035
_cell_length_c 6.5242
_cell_angle_alpha 90.00
_cell_angle_beta 90.00
_cell_angle_gamma 90.00
_symmetry_space_group_name_H-M 'C m m m'
_symmetry_Int_Tables_number 65
_symmetry_space_group_name_Hall '-C 2 2'
loop_
_atom_site_label
_atom_site_fract_x
_atom_site_fract_y
_atom_site_fract_z
Dy1 0.0000 0.0000 0.0000
Sc1 0.0000 0.5000 0.2398
Os1 0.0000 0.0000 0.5000
O1 0.0000 0.2730 0.5000
O2 0.0000 0.3163 0.0000
O3 0.1940 0.0000 0.2874
```

Peak list (10 most intense, 10° ≤ 2θ ≤ 90°, sorted by position)
| 2θ (°) | d (Å) | Rel. int. | h k l |
| --- | --- | --- | --- |
| 18.2 | 4.866 | 90 | 1 1 0 |
| 25.8 | 3.452 | 61 | 0 2 0 |
| 26.0 | 3.429 | 61 | 2 0 0 |
| 33.1 | 2.709 | 100 | 1 1 2 |
| 36.9 | 2.433 | 26 | 2 2 0 |
| 38.1 | 2.364 | 29 | 2 0 2 |
| 50.3 | 1.813 | 40 | 1 3 2 |
| 50.5 | 1.807 | 41 | 3 1 2 |
| 63.1 | 1.474 | 19 | 2 0 4 |
| 64.1 | 1.452 | 24 | 3 3 2 |


No. 4
DyP3O9: calculated XRD peak list (Cu Kα, 1.54184 Å), based on a DFT-relaxed cell (GGA-PBE, Alexandria).
Peak positions follow from Bragg's law for the DFT cell and can differ from measured ones.

Cell and atoms:
```
data_DyP3O9
_cell_length_a 14.3991
_cell_length_b 6.8322
_cell_length_c 10.2232
_cell_angle_alpha 90.00
_cell_angle_beta 127.40
_cell_angle_gamma 90.00
_symmetry_space_group_name_H-M 'C 1 c 1'
_symmetry_Int_Tables_number 9
loop_
_symmetry_equiv_pos_as_xyz
'x,y,z'
'x,-y,z+1/2'
'x+1/2,y+1/2,z'
'x+1/2,-y+1/2,z+1/2'
loop_
_atom_site_label
_atom_site_fract_x
_atom_site_fract_y
_atom_site_fract_z
Dy1 0.0000 0.2359 0.0000
P1 0.1533 0.1036 0.8386
P2 0.2436 0.4193 0.7306
P3 0.3488 0.0922 0.6652
O1 0.0542 0.1358 0.8470
O2 0.1344 0.0443 0.2159
O3 0.1527 0.4393 0.1075
O4 0.1893 0.3106 0.8093
O5 0.2530 0.2521 0.6277
O6 0.2702 0.0604 0.0195
O7 0.3624 0.4966 0.8669
O8 0.3971 0.0125 0.3237
O9 0.4331 0.1837 0.6430
```

Peak list (10 most intense, 10° ≤ 2θ ≤ 90°, sorted by position)
| 2θ (°) | d (Å) | Rel. int. | h k l |
| --- | --- | --- | --- |
| 15.6 | 5.666 | 42 | 1 1 -1 |
| 17.5 | 5.069 | 26 | 2 0 -2 |
| 21.3 | 4.178 | 100 | 1 1 1 |
| 22.9 | 3.888 | 26 | 3 1 -1 |
| 23.9 | 3.717 | 19 | 3 1 -2 |
| 24.9 | 3.573 | 18 | 4 0 -2 |
| 29.5 | 3.029 | 22 | 3 1 -3 |
| 30.5 | 2.933 | 20 | 2 2 0 |
| 34.3 | 2.614 | 14 | 0 2 2 |
| 41.2 | 2.193 | 12 | 4 2 0 |